Entry 1:
# Ac2Cd5Hg
Calculated powder X-ray diffraction pattern, λ = 1.5418 Å (Cu Kα). Input: a cell relaxed with PBE.

Peak list (10 most intense, 2θ from 10° to 80°, by angle)
| Position (°2θ) | I_rel | h k l |
| --- | --- | --- |
| 25.74 | 32 | 1 1 2 |
| 29.27 | 100 | 1 3 2 |
| 30.46 | 62 | 1 5 0 |
| 32.58 | 40 | 1 1 3 |
| 34.34 | 22 | 0 6 2 |
| 35.50 | 26 | 0 0 4 |
| 36.56 | 46 | 2 0 0 |
| 39.86 | 22 | 0 6 3 |
| 51.04 | 17 | 2 6 2 |
| 61.44 | 21 | 3 3 2 |

```
data_Ac2Cd5Hg
_space_group_name_H-M_alt 'C m c m'
_space_group_IT_number 63
_space_group_name_Hall '-C 2c 2'
_cell_length_a 4.9151
_cell_length_b 18.2942
_cell_length_c 10.1143
_cell_angle_alpha 90.00
_cell_angle_beta 90.00
_cell_angle_gamma 90.00
loop_
_atom_site_label
_atom_site_type_symbol
_atom_site_fract_x
_atom_site_fract_y
_atom_site_fract_z
Ac1 Ac 0.0000 0.0000 0.0000
Ac2 Ac 0.0000 0.2002 0.2500
Cd1 Cd 0.0000 0.1870 0.6067
Cd2 Cd 0.0000 0.3500 0.5248
Cd3 Cd 0.0000 0.3989 0.2500
Hg1 Hg 0.0000 0.4469 0.7500
```

=====

Entry 2:
# Sr2NiP3Pt12
Calculated powder X-ray diffraction pattern, λ = 1.5418 Å (Cu Kα). Input: a cell relaxed with PBE.

Peak list (10 most intense, 2θ from 10° to 80°, by angle)
| Position (°2θ) | I_rel | h k l |
| --- | --- | --- |
| 21.59 | 13 | 1 1 0 |
| 22.97 | 14 | 1 0 4 |
| 31.73 | 100 | 0 2 4 |
| 38.70 | 12 | 2 1 4 |
| 44.00 | 49 | 2 2 0 |
| 46.93 | 38 | 2 0 8 |
| 55.25 | 17 | 4 0 4 |
| 66.28 | 13 | 0 4 8 |
| 73.18 | 12 | 2 4 4 |
| 77.50 | 9 | 2 2 12 |

```
data_Sr2NiP3Pt12
_space_group_name_H-M_alt 'R -3 m'
_space_group_IT_number 166
_space_group_name_Hall '-R 3 2"'
_cell_length_a 8.2324
_cell_length_b 8.2324
_cell_length_c 18.4465
_cell_angle_alpha 90.00
_cell_angle_beta 90.00
_cell_angle_gamma 120.00
loop_
_atom_site_label
_atom_site_type_symbol
_atom_site_fract_x
_atom_site_fract_y
_atom_site_fract_z
Sr1 Sr 0.0000 0.0000 0.1154
Ni1 Ni 0.0000 0.0000 0.5000
P1 P 0.0000 0.5000 0.0000
Pt1 Pt 0.0163 0.5082 0.1219
Pt2 Pt 0.0412 0.5206 0.3626
```

=====

Entry 3:
# CsMg16Al12
Calculated powder X-ray diffraction pattern, λ = 1.5418 Å (Cu Kα). Input: a cell relaxed with PBE.

Peak list (10 most intense, 2θ from 10° to 80°, by angle)
| Position (°2θ) | I_rel | h k l |
| --- | --- | --- |
| 11.70 | 26 | 1 1 0 |
| 20.34 | 15 | 2 1 1 |
| 26.36 | 10 | 3 1 0 |
| 31.30 | 20 | 3 2 1 |
| 35.62 | 100 | 4 1 1 |
| 39.53 | 22 | 3 3 2 |
| 41.37 | 15 | 4 2 2 |
| 61.30 | 16 | 5 5 0 |
| 63.99 | 26 | 7 2 1 |
| 76.66 | 8 | 8 3 1 |

```
data_CsMg16Al12
_space_group_name_H-M_alt 'I -4 3 m'
_space_group_IT_number 217
_space_group_name_Hall 'I -4 2 3'
_cell_length_a 10.6926
_cell_length_b 10.6926
_cell_length_c 10.6926
_cell_angle_alpha 90.00
_cell_angle_beta 90.00
_cell_angle_gamma 90.00
loop_
_atom_site_label
_atom_site_type_symbol
_atom_site_fract_x
_atom_site_fract_y
_atom_site_fract_z
Cs1 Cs 0.0000 0.0000 0.0000
Mg1 Mg 0.0419 0.3595 0.3595
Mg2 Mg 0.1823 0.1823 0.8177
Al1 Al 0.0949 0.0949 0.2841
```

=====

Entry 4:
# In2O3
Calculated powder X-ray diffraction pattern, λ = 1.5418 Å (Cu Kα). Input: a cell relaxed with PBE.

Peak list (10 most intense, 2θ from 10° to 80°, by angle)
| Position (°2θ) | I_rel | h k l |
| --- | --- | --- |
| 21.98 | 20 | 0 1 2 |
| 30.47 | 100 | 1 0 4 |
| 32.08 | 93 | 1 1 0 |
| 44.83 | 40 | 0 2 4 |
| 49.38 | 34 | 1 1 6 |
| 53.11 | 11 | 0 1 8 |
| 56.18 | 38 | 2 1 4 |
| 57.18 | 28 | 3 0 0 |
| 66.17 | 12 | 1 0 10 |
| 75.45 | 20 | 0 2 10 |

```
data_In2O3
_space_group_name_H-M_alt 'R -3 c'
_space_group_IT_number 167
_space_group_name_Hall '-R 3 2"c'
_cell_length_a 5.5808
_cell_length_b 5.5808
_cell_length_c 14.7660
_cell_angle_alpha 90.00
_cell_angle_beta 90.00
_cell_angle_gamma 120.00
loop_
_atom_site_label
_atom_site_type_symbol
_atom_site_fract_x
_atom_site_fract_y
_atom_site_fract_z
In1 In 0.0000 0.0000 0.1429
O1 O 0.0000 0.2964 0.2500
```

=====

Entry 5:
# Rb2DySO6
Calculated powder X-ray diffraction pattern, λ = 1.5418 Å (Cu Kα). Input: a cell relaxed with PBE.

Peak list (10 most intense, 2θ from 10° to 80°, by angle)
| Position (°2θ) | I_rel | h k l |
| --- | --- | --- |
| 16.01 | 79 | 1 0 0 |
| 22.59 | 95 | 0 1 1 |
| 27.91 | 100 | 1 1 0 |
| 35.97 | 36 | 1 0 2 |
| 36.20 | 54 | 2 0 1 |
| 42.96 | 23 | 1 1 2 |
| 46.13 | 32 | 0 2 2 |
| 46.32 | 37 | 1 2 1 |
| 49.38 | 17 | 3 0 0 |
| 54.78 | 26 | 2 1 2 |

```
data_Rb2DySO6
_space_group_name_H-M_alt 'P -3 m 1'
_space_group_IT_number 164
_space_group_name_Hall '-P 3 2"'
_cell_length_a 6.3939
_cell_length_b 6.3939
_cell_length_c 5.5942
_cell_angle_alpha 90.00
_cell_angle_beta 90.00
_cell_angle_gamma 120.00
loop_
_atom_site_label
_atom_site_type_symbol
_atom_site_fract_x
_atom_site_fract_y
_atom_site_fract_z
Rb1 Rb 0.3333 0.6667 0.3817
Dy1 Dy 0.0000 0.0000 0.0000
S1 S 0.0000 0.0000 0.5000
O1 O 0.1245 0.2489 0.6773
```

=====

Entry 6:
# Sc3AlCo4
Calculated powder X-ray diffraction pattern, λ = 1.5418 Å (Cu Kα). Input: a cell relaxed with PBE.

Peak list (10 most intense, 2θ from 10° to 80°, by angle)
| Position (°2θ) | I_rel | h k l |
| --- | --- | --- |
| 28.92 | 3 | 1 0 0 |
| 29.41 | 6 | 0 1 2 |
| 41.72 | 100 | 1 1 2 |
| 42.08 | 48 | 0 2 0 |
| 51.87 | 2 | 1 2 0 |
| 59.93 | 8 | 2 0 0 |
| 61.03 | 14 | 0 2 4 |
| 75.92 | 15 | 2 2 0 |
| 76.61 | 13 | 1 1 6 |
| 76.71 | 14 | 1 3 2 |

```
data_Sc3AlCo4
_space_group_name_H-M_alt 'P m m m'
_space_group_IT_number 47
_space_group_name_Hall '-P 2 2'
_cell_length_a 3.0870
_cell_length_b 4.2907
_cell_length_c 8.5964
_cell_angle_alpha 90.00
_cell_angle_beta 90.00
_cell_angle_gamma 90.00
loop_
_atom_site_label
_atom_site_type_symbol
_atom_site_fract_x
_atom_site_fract_y
_atom_site_fract_z
Sc1 Sc 0.0000 0.0000 0.0000
Sc2 Sc 0.0000 0.5000 0.2593
Al1 Al 0.0000 0.0000 0.5000
Co1 Co 0.5000 0.0000 0.2641
Co2 Co 0.5000 0.5000 0.0000
Co3 Co 0.5000 0.5000 0.5000
```

=====

Entry 7:
# SiBi2O5
Calculated powder X-ray diffraction pattern, λ = 1.5418 Å (Cu Kα). Input: a cell relaxed with PBE.

Peak list (10 most intense, 2θ from 10° to 80°, by angle)
| Position (°2θ) | I_rel | h k l |
| --- | --- | --- |
| 11.35 | 42 | 1 0 1 |
| 22.82 | 37 | 2 0 2 |
| 25.38 | 46 | 1 0 3 |
| 25.73 | 27 | 3 0 1 |
| 28.07 | 100 | 2 1 0 |
| 29.12 | 66 | 2 0 3 |
| 29.24 | 53 | 2 1 1 |
| 33.31 | 41 | 0 1 3 |
| 43.57 | 44 | 4 1 2 |
| 46.46 | 26 | 0 2 0 |

```
data_SiBi2O5
_space_group_name_H-M_alt 'P n m a'
_space_group_IT_number 62
_space_group_name_Hall '-P 2ac 2n'
_cell_length_a 10.9293
_cell_length_b 3.9089
_cell_length_c 11.1149
_cell_angle_alpha 90.00
_cell_angle_beta 90.00
_cell_angle_gamma 90.00
loop_
_atom_site_label
_atom_site_type_symbol
_atom_site_fract_x
_atom_site_fract_y
_atom_site_fract_z
Si1 Si 0.2134 0.2500 0.1498
Bi1 Bi 0.0666 0.2500 0.7831
Bi2 Bi 0.1470 0.2500 0.4596
O1 O 0.9996 0.2500 0.6002
O2 O 0.0704 0.2500 0.1926
O3 O 0.1840 0.7500 0.7623
O4 O 0.2411 0.7500 0.1422
O5 O 0.2462 0.2500 0.0023
```

=====

Entry 8:
# Li4Tm3Hg4
Calculated powder X-ray diffraction pattern, λ = 1.5418 Å (Cu Kα). Input: a cell relaxed with PBE.

Peak list (10 most intense, 2θ from 10° to 80°, by angle)
| Position (°2θ) | I_rel | h k l |
| --- | --- | --- |
| 23.12 | 23 | 0 2 0 |
| 26.18 | 29 | 0 2 2 |
| 27.66 | 33 | 1 0 3 |
| 31.81 | 93 | 1 2 1 |
| 32.74 | 25 | 0 1 5 |
| 34.23 | 100 | 1 1 4 |
| 42.04 | 29 | 2 0 0 |
| 47.13 | 25 | 0 3 5 |
| 66.07 | 25 | 1 2 9 |
| 69.84 | 22 | 1 5 4 |

```
data_Li4Tm3Hg4
_space_group_name_H-M_alt 'I m m m'
_space_group_IT_number 71
_space_group_name_Hall '-I 2 2'
_cell_length_a 4.2988
_cell_length_b 7.6925
_cell_length_c 14.6307
_cell_angle_alpha 90.00
_cell_angle_beta 90.00
_cell_angle_gamma 90.00
loop_
_atom_site_label
_atom_site_type_symbol
_atom_site_fract_x
_atom_site_fract_y
_atom_site_fract_z
Li1 Li 0.0000 0.1878 0.1759
Tm1 Tm 0.0000 0.0000 0.3837
Tm2 Tm 0.0000 0.5000 0.5000
Hg1 Hg 0.0000 0.2953 0.0000
Hg2 Hg 0.0000 0.5000 0.2741
```

=====

Entry 9:
# Ta2Re2SnSe8
Calculated powder X-ray diffraction pattern, λ = 1.5418 Å (Cu Kα). Input: a cell relaxed with PBE.

Peak list (10 most intense, 2θ from 10° to 80°, by angle)
| Position (°2θ) | I_rel | h k l |
| --- | --- | --- |
| 12.40 | 100 | 0 0 4 |
| 15.52 | 51 | 0 0 5 |
| 29.98 | 38 | 1 0 0 |
| 30.64 | 42 | 0 1 2 |
| 32.56 | 40 | 0 1 4 |
| 33.93 | 76 | 0 1 5 |
| 37.37 | 38 | 1 0 7 |
| 41.58 | 93 | 0 1 9 |
| 51.71 | 37 | 1 0 13 |
| 53.23 | 62 | 1 1 0 |

```
data_Ta2Re2SnSe8
_space_group_name_H-M_alt 'P 3 m 1'
_space_group_IT_number 156
_space_group_name_Hall 'P 3 -2"'
_cell_length_a 3.4416
_cell_length_b 3.4416
_cell_length_c 28.5462
_cell_angle_alpha 90.00
_cell_angle_beta 90.00
_cell_angle_gamma 120.00
loop_
_atom_site_label
_atom_site_type_symbol
_atom_site_fract_x
_atom_site_fract_y
_atom_site_fract_z
Ta1 Ta 0.0000 0.0000 0.0000
Ta2 Ta 0.0000 0.0000 0.4509
Re1 Re 0.0000 0.0000 0.2237
Re2 Re 0.0000 0.0000 0.6781
Sn1 Sn 0.0000 0.0000 0.8468
Se1 Se 0.3333 0.6667 0.0587
Se2 Se 0.3333 0.6667 0.3919
Se3 Se 0.3333 0.6667 0.5098
Se4 Se 0.3333 0.6667 0.9405
Se5 Se 0.6667 0.3333 0.1686
Se6 Se 0.6667 0.3333 0.2786
Se7 Se 0.6667 0.3333 0.6235
Se8 Se 0.6667 0.3333 0.7344
```

=====

Entry 10:
# Pm2Pr3Sm5
Calculated powder X-ray diffraction pattern, λ = 1.5418 Å (Cu Kα). Input: a cell relaxed with PBE.

Peak list (10 most intense, 2θ from 10° to 80°, by angle)
| Position (°2θ) | I_rel | h k l |
| --- | --- | --- |
| 29.37 | 100 | 2 4 0 |
| 30.35 | 100 | 2 2 -3 |
| 31.74 | 21 | 0 4 2 |
| 32.57 | 48 | 4 0 -2 |
| 36.36 | 19 | 2 6 -1 |
| 48.42 | 23 | 0 6 3 |
| 56.74 | 19 | 6 2 -5 |
| 59.58 | 22 | 4 6 -5 |
| 63.35 | 24 | 2 10 1 |
| 67.13 | 19 | 2 4 -6 |

```
data_Pm2Pr3Sm5
_space_group_name_H-M_alt 'C 1 2/c 1'
_space_group_IT_number 15
_space_group_name_Hall '-C 2yc'
_cell_length_a 10.9970
_cell_length_b 16.5936
_cell_length_c 9.4486
_cell_angle_alpha 90.00
_cell_angle_beta 125.56
_cell_angle_gamma 90.00
loop_
_atom_site_label
_atom_site_type_symbol
_atom_site_fract_x
_atom_site_fract_y
_atom_site_fract_z
Pm1 Pm 0.1432 0.1285 0.0422
Pr1 Pr 0.0000 0.0222 0.2500
Pr2 Pr 0.1513 0.3749 0.5468
Sm1 Sm 0.0000 0.2248 0.2500
Sm2 Sm 0.0000 0.2792 0.7500
Sm3 Sm 0.0000 0.4748 0.7500
Sm4 Sm 0.2427 0.3703 0.2358
```

=====

Entry 11:
# CsGe2Te3
Calculated powder X-ray diffraction pattern, λ = 1.5418 Å (Cu Kα). Input: a cell relaxed with PBE.

Peak list (10 most intense, 2θ from 10° to 80°, by angle)
| Position (°2θ) | I_rel | h k l |
| --- | --- | --- |
| 22.37 | 26 | 0 1 2 |
| 23.00 | 22 | 0 3 1 |
| 25.28 | 23 | 1 1 1 |
| 27.94 | 100 | 1 2 1 |
| 29.63 | 39 | 0 3 2 |
| 31.46 | 15 | 1 1 2 |
| 31.92 | 22 | 1 3 1 |
| 33.67 | 28 | 1 2 2 |
| 39.86 | 18 | 1 1 3 |
| 44.54 | 32 | 2 0 0 |

```
data_CsGe2Te3
_space_group_name_H-M_alt 'P m c 21'
_space_group_IT_number 26
_space_group_name_Hall 'P 2c -2'
_cell_length_a 4.0709
_cell_length_b 13.0914
_cell_length_c 8.3428
_cell_angle_alpha 90.00
_cell_angle_beta 90.00
_cell_angle_gamma 90.00
loop_
_atom_site_label
_atom_site_type_symbol
_atom_site_fract_x
_atom_site_fract_y
_atom_site_fract_z
Cs1 Cs 0.0000 0.1331 0.0000
Ge1 Ge 0.0000 0.2498 0.4898
Ge2 Ge 0.5000 0.4970 0.0549
Te1 Te 0.0000 0.4019 0.7208
Te2 Te 0.5000 0.1184 0.6010
Te3 Te 0.5000 0.3277 0.2597
```

=====

Entry 12:
# CsPaTlI6
Calculated powder X-ray diffraction pattern, λ = 1.5418 Å (Cu Kα). Input: a cell relaxed with PBE.

Peak list (10 most intense, 2θ from 10° to 80°, by angle)
| Position (°2θ) | I_rel | h k l |
| --- | --- | --- |
| 11.06 | 39 | 0 0 2 |
| 16.17 | 73 | 1 0 2 |
| 23.30 | 96 | 1 1 2 |
| 30.37 | 100 | 1 1 4 |
| 33.44 | 31 | 2 1 2 |
| 35.79 | 64 | 3 0 0 |
| 39.65 | 29 | 2 -1 6 |
| 47.64 | 24 | 4 -2 4 |
| 59.06 | 21 | 3 0 8 |
| 61.00 | 18 | 4 1 4 |

```
data_CsPaTlI6
_space_group_name_H-M_alt 'P -3 1 c'
_space_group_IT_number 163
_space_group_name_Hall '-P 3 2c'
_cell_length_a 8.6868
_cell_length_b 8.6868
_cell_length_c 16.0062
_cell_angle_alpha 90.00
_cell_angle_beta 90.00
_cell_angle_gamma 120.00
loop_
_atom_site_label
_atom_site_type_symbol
_atom_site_fract_x
_atom_site_fract_y
_atom_site_fract_z
Cs1 Cs 0.0000 0.0000 0.0000
Pa1 Pa 0.3333 0.6667 0.2500
Tl1 Tl 0.3333 0.6667 0.7500
I1 I 0.0410 0.3892 0.1391
```